[1]
# PrNdBr6
Computed powder XRD pattern, a wavelength of 1.5418 Å. Input: DFT lattice parameters and positions (PBE).
No peak broadening, texture or thermal motion is included.

Main lines, most intense first (2θ = 5–70°):
hkl 2 0 1, 33.06 deg, I = 100.0
hkl 1 1 1, 30.24 deg, I = 69.5
hkl 1 0 0, 13.06 deg, I = 64.9
hkl 1 2 1, 40.49 deg, I = 55.7
hkl 3 0 0, 39.88 deg, I = 35.6
hkl 3 2 1, 63.23 deg, I = 35.4
hkl 1 2 0, 35.01 deg, I = 30.1
hkl 0 0 2, 40.00 deg, I = 27.8
hkl 3 0 2, 57.77 deg, I = 23.8
hkl 4 0 0, 54.17 deg, I = 23.0

Structural model:
Lattice parameters (Å, degrees): 7.8303 7.8303 4.5076 90.00 90.00 120.00
Space group P-6 (No. 174)
Inequivalent atoms, fractional coordinates:
1 Pr 0.0000 0.0000 0.0000 [1 per cell]
2 Nd 0.3333 0.6667 0.5000 [1 per cell]
3 Br 0.0509 0.4198 0.0000 [3 per cell]
4 Br 0.2842 0.2493 0.5000 [3 per cell]



[2]
# PrNdBr6
Computed powder XRD pattern, a wavelength of 1.5418 Å. Input: DFT lattice parameters and positions (PBE).
No peak broadening, texture or thermal motion is included.

Main lines, most intense first (2θ = 5–70°):
hkl 1 1 3, 31.47 deg, I = 100.0
hkl 0 0 2, 13.66 deg, I = 61.4
hkl 0 1 3, 29.87 deg, I = 60.0
hkl 3 1 1, 37.12 deg, I = 51.9
hkl 3 0 2, 32.26 deg, I = 40.9
hkl 3 1 3, 42.24 deg, I = 38.7
hkl 2 0 4, 33.81 deg, I = 25.8
hkl 2 0 6, 46.41 deg, I = 24.3
hkl 0 2 0, 43.78 deg, I = 24.3
hkl 5 1 3, 58.89 deg, I = 20.7

Structural model:
Lattice parameters (Å, degrees): 9.211 4.136 12.969 90.00 90.00 90.00
Space group Amm2 (No. 38)
Inequivalent atoms, fractional coordinates:
1 Pr 0.000 0.000 0.000 [2 per cell]
2 Nd 0.500 0.000 0.513 [2 per cell]
3 Br 0.000 0.000 0.339 [2 per cell]
4 Br 0.186 0.000 0.611 [4 per cell]
5 Br 0.316 0.000 0.903 [4 per cell]
6 Br 0.500 0.000 0.172 [2 per cell]



[3]
# Nd3S2Br5
Computed powder XRD pattern, a wavelength of 1.5418 Å. Input: DFT lattice parameters and positions (PBE).
No peak broadening, texture or thermal motion is included.

Main lines, most intense first (2θ = 5–70°):
hkl 1 3 2, 30.96 deg, I = 100.0
hkl 1 2 1, 19.37 deg, I = 64.8
hkl 2 7 0, 37.16 deg, I = 61.0
hkl 0 8 0, 31.50 deg, I = 50.4
hkl 1 4 2, 32.71 deg, I = 45.9
hkl 3 0 1, 39.45 deg, I = 43.6
hkl 1 7 1, 32.88 deg, I = 43.2
hkl 1 4 3, 44.17 deg, I = 38.4
hkl 1 3 1, 21.27 deg, I = 35.7
hkl 3 3 1, 41.29 deg, I = 33.7

Structural model:
Lattice parameters (Å, degrees): 7.258 22.721 6.922 90.00 90.00 90.00
Space group Pnma (No. 62)
Inequivalent atoms, fractional coordinates:
1 Nd 0.047 0.250 0.056 [4 per cell]
2 Nd 0.120 0.104 0.445 [8 per cell]
3 S 0.166 0.674 0.698 [8 per cell]
4 Br 0.021 0.620 0.151 [8 per cell]
5 Br 0.170 0.250 0.635 [4 per cell]
6 Br 0.179 0.521 0.666 [8 per cell]



[4]
# NiBr2
Computed powder XRD pattern, a wavelength of 1.5418 Å. Input: DFT lattice parameters and positions (PBE).
No peak broadening, texture or thermal motion is included.

Main lines, most intense first (2θ = 5–70°):
hkl 0 0 2, 13.55 deg, I = 100.0
hkl 1 1 2, 31.60 deg, I = 92.7
hkl 1 1 3, 35.22 deg, I = 43.8
hkl 1 1 5, 45.13 deg, I = 35.3
hkl 2 0 0, 50.48 deg, I = 31.8
hkl 0 2 3, 35.01 deg, I = 27.4
hkl 1 3 0, 49.99 deg, I = 26.6
hkl 0 2 2, 31.37 deg, I = 24.1
hkl 0 2 4, 39.62 deg, I = 18.9
hkl 1 1 6, 51.03 deg, I = 17.8

Structural model:
Lattice parameters (Å, degrees): 3.618 6.339 13.065 90.00 90.00 90.00
Space group Cmc2_1 (No. 36)
Inequivalent atoms, fractional coordinates:
1 Ni 0.000 0.196 0.000 [4 per cell]
2 Br 0.000 0.136 0.609 [4 per cell]
3 Br 0.000 0.471 0.391 [4 per cell]



[5]
# Ni3Br8
Computed powder XRD pattern, a wavelength of 1.5418 Å. Input: DFT lattice parameters and positions (PBE).
No peak broadening, texture or thermal motion is included.

Main lines, most intense first (2θ = 5–70°):
hkl 1 1 0, 12.44 deg, I = 100.0
hkl 2 2 1, 28.98 deg, I = 88.2
hkl 4 0 -1, 29.66 deg, I = 50.9
hkl 6 2 0, 45.28 deg, I = 47.3
hkl 2 2 0, 25.03 deg, I = 43.3
hkl 0 0 2, 28.75 deg, I = 33.9
hkl 2 2 -1, 28.86 deg, I = 26.8
hkl 2 2 2, 38.56 deg, I = 25.7
hkl 0 4 0, 43.48 deg, I = 22.0
hkl 1 3 2, 44.31 deg, I = 21.9

Structural model:
Lattice parameters (Å, degrees): 13.709 8.325 6.212 90.00 90.49 90.00
Space group C2/m (No. 12)
Inequivalent atoms, fractional coordinates:
1 Ni 0.000 0.000 0.000 [2 per cell]
2 Ni 0.163 0.000 0.403 [4 per cell]
3 Br 0.076 0.211 0.240 [8 per cell]
4 Br 0.158 0.000 0.778 [4 per cell]
5 Br 0.178 0.500 0.693 [4 per cell]



[6]
# NiBr3
Computed powder XRD pattern, a wavelength of 1.5418 Å. Input: DFT lattice parameters and positions (PBE).
No peak broadening, texture or thermal motion is included.

Main lines, most intense first (2θ = 5–70°):
hkl 1 3 2, 32.51 deg, I = 100.0
hkl 0 0 2, 14.06 deg, I = 74.7
hkl 2 0 -2, 30.72 deg, I = 64.4
hkl 1 3 4, 41.32 deg, I = 53.8
hkl 1 3 -2, 32.01 deg, I = 42.9
hkl 3 3 0, 49.80 deg, I = 41.5
hkl 1 3 -6, 52.19 deg, I = 38.8
hkl 0 0 4, 28.33 deg, I = 33.2
hkl 2 0 -4, 39.24 deg, I = 28.4
hkl 2 0 2, 31.75 deg, I = 23.9

Structural model:
Lattice parameters (Å, degrees): 6.434 10.573 12.610 90.00 92.29 90.00
Space group C2/c (No. 15)
Inequivalent atoms, fractional coordinates:
1 Ni 0.000 0.001 0.250 [4 per cell]
2 Ni 0.000 0.334 0.750 [4 per cell]
3 Br 0.138 0.167 0.861 [8 per cell]
4 Br 0.174 0.487 0.861 [8 per cell]
5 Br 0.175 0.154 0.361 [8 per cell]



[7]
# Tl2NiPdBr6
Computed powder XRD pattern, a wavelength of 1.5418 Å. Input: DFT lattice parameters and positions (PBE).
No peak broadening, texture or thermal motion is included.

Main lines, most intense first (2θ = 5–70°):
hkl 4 0 0, 34.79 deg, I = 100.0
hkl 2 2 2, 30.01 deg, I = 89.6
hkl 2 2 0, 24.40 deg, I = 72.6
hkl 4 4 0, 50.01 deg, I = 70.5
hkl 6 2 2, 59.43 deg, I = 38.4
hkl 4 2 2, 42.95 deg, I = 33.1
hkl 4 4 4, 62.36 deg, I = 24.0
hkl 6 4 2, 68.00 deg, I = 17.3
hkl 6 2 0, 56.41 deg, I = 15.3
hkl 3 1 1, 28.70 deg, I = 1.4

Structural model:
Lattice parameters (Å, degrees): 10.316 10.316 10.316 90.00 90.00 90.00
Space group Fm-3m (No. 225)
Inequivalent atoms, fractional coordinates:
1 Tl 0.250 0.250 0.250 [8 per cell]
2 Ni 0.000 0.000 0.000 [4 per cell]
3 Pd 0.000 0.000 0.500 [4 per cell]
4 Br 0.000 0.000 0.245 [24 per cell]



[8]
# TbNpBr6
Computed powder XRD pattern, a wavelength of 1.5418 Å. Input: DFT lattice parameters and positions (PBE).
No peak broadening, texture or thermal motion is included.

Main lines, most intense first (2θ = 5–70°):
hkl 1 3 1, 30.03 deg, I = 100.0
hkl 0 0 1, 13.07 deg, I = 85.2
hkl 2 0 -2, 29.72 deg, I = 50.9
hkl 1 1 0, 14.54 deg, I = 42.3
hkl 3 3 -1, 42.35 deg, I = 36.2
hkl 1 3 -3, 43.15 deg, I = 36.1
hkl 1 3 0, 24.57 deg, I = 31.8
hkl 1 1 -1, 16.30 deg, I = 28.5
hkl 2 6 -2, 52.78 deg, I = 27.5
hkl 0 2 0, 13.90 deg, I = 25.1

Structural model:
Lattice parameters (Å, degrees): 7.404 12.745 7.233 90.00 110.51 90.00
Space group C2 (No. 5)
Inequivalent atoms, fractional coordinates:
1 Tb 0.000 0.000 0.000 [2 per cell]
2 Np 0.000 0.665 0.000 [2 per cell]
3 Br 0.219 0.835 0.237 [4 per cell]
4 Br 0.231 0.011 0.762 [4 per cell]
5 Br 0.245 0.651 0.763 [4 per cell]



[9]
# NpTl2Br6
Computed powder XRD pattern, a wavelength of 1.5418 Å. Input: DFT lattice parameters and positions (PBE).
No peak broadening, texture or thermal motion is included.

Main lines, most intense first (2θ = 5–70°):
hkl 1 1 0, 16.90 deg, I = 100.0
hkl 2 1 3, 33.09 deg, I = 88.1
hkl 1 0 3, 22.45 deg, I = 52.6
hkl 3 0 3, 41.29 deg, I = 42.0
hkl 2 2 0, 34.19 deg, I = 33.6
hkl 1 1 3, 25.50 deg, I = 28.5
hkl 0 0 6, 38.41 deg, I = 28.2
hkl 3 3 0, 52.36 deg, I = 28.2
hkl 2 1 9, 66.11 deg, I = 21.3
hkl 1 1 6, 42.27 deg, I = 19.2

Structural model:
Lattice parameters (Å, degrees): 7.417 7.417 14.050 90.00 90.00 90.00
Space group P4_2/mnm (No. 136)
Inequivalent atoms, fractional coordinates:
1 Np 0.000 0.000 0.000 [2 per cell]
2 Tl 0.000 0.000 0.334 [4 per cell]
3 Br 0.183 0.183 0.144 [8 per cell]
4 Br 0.236 0.236 0.500 [4 per cell]



[10]
# Pr2Ta2Br2O7
Computed powder XRD pattern, a wavelength of 1.5418 Å. Input: DFT lattice parameters and positions (PBE).
No peak broadening, texture or thermal motion is included.

Main lines, most intense first (2θ = 5–70°):
hkl 3 1 0, 29.37 deg, I = 100.0
hkl 1 1 -2, 34.56 deg, I = 66.0
hkl 4 0 -2, 29.10 deg, I = 60.9
hkl 1 1 1, 28.47 deg, I = 27.3
hkl 0 2 0, 45.89 deg, I = 27.1
hkl 7 1 -2, 48.17 deg, I = 24.3
hkl 4 0 1, 33.20 deg, I = 22.1
hkl 4 2 -2, 55.27 deg, I = 20.4
hkl 4 0 -1, 23.22 deg, I = 20.0
hkl 0 0 3, 42.19 deg, I = 19.3

Structural model:
Lattice parameters (Å, degrees): 15.551 3.955 6.999 90.00 113.37 90.00
Space group C2/m (No. 12)
Inequivalent atoms, fractional coordinates:
1 Pr 0.189 0.000 0.157 [4 per cell]
2 Ta 0.034 0.500 0.796 [4 per cell]
3 Br 0.172 0.000 0.564 [4 per cell]
4 O 0.000 0.500 0.500 [2 per cell]
5 O 0.043 0.000 0.833 [4 per cell]
6 O 0.080 0.500 0.149 [4 per cell]
7 O 0.173 0.500 0.929 [4 per cell]



[11]
# ReBrO2
Computed powder XRD pattern, a wavelength of 1.5418 Å. Input: DFT lattice parameters and positions (PBE).
No peak broadening, texture or thermal motion is included.

Main lines, most intense first (2θ = 5–70°):
hkl 1 1 0, 24.07 deg, I = 100.0
hkl 0 4 1, 31.21 deg, I = 80.7
hkl 0 8 0, 37.44 deg, I = 67.2
hkl 0 2 0, 9.22 deg, I = 50.4
hkl 2 0 0, 48.32 deg, I = 39.4
hkl 2 4 1, 58.65 deg, I = 26.8
hkl 0 4 0, 18.51 deg, I = 22.5
hkl 0 8 1, 45.56 deg, I = 20.5
hkl 0 2 1, 26.61 deg, I = 20.3
hkl 1 5 1, 42.06 deg, I = 19.3

Structural model:
Lattice parameters (Å, degrees): 3.768 19.176 3.575 90.00 90.00 90.00
Space group Cmcm (No. 63)
Inequivalent atoms, fractional coordinates:
1 Re 0.000 0.081 0.250 [4 per cell]
2 Br 0.000 0.180 0.750 [4 per cell]
3 O 0.000 0.034 0.750 [4 per cell]
4 O 0.000 0.416 0.750 [4 per cell]



[12]
# ZnSb2Br2O3
Computed powder XRD pattern, a wavelength of 1.5418 Å. Input: DFT lattice parameters and positions (PBE).
No peak broadening, texture or thermal motion is included.

Main lines, most intense first (2θ = 5–70°):
hkl 1 1 2, 27.80 deg, I = 100.0
hkl 1 0 -2, 29.84 deg, I = 96.1
hkl 1 -2 0, 30.56 deg, I = 93.9
hkl 1 3 0, 36.56 deg, I = 73.5
hkl 2 1 0, 34.91 deg, I = 64.0
hkl 0 1 0, 11.38 deg, I = 57.5
hkl 1 0 2, 26.45 deg, I = 41.7
hkl 0 2 -2, 32.30 deg, I = 33.7
hkl 1 1 -2, 31.24 deg, I = 31.6
hkl 0 2 0, 22.87 deg, I = 31.3

Structural model:
Lattice parameters (Å, degrees): 5.281 7.854 8.051 88.40 82.85 81.98
Space group P-1 (No. 2)
Inequivalent atoms, fractional coordinates:
1 Zn 0.015 0.497 0.287 [2 per cell]
2 Sb 0.405 0.701 0.971 [2 per cell]
3 Sb 0.434 0.711 0.526 [2 per cell]
4 Br 0.151 0.200 0.787 [2 per cell]
5 Br 0.261 0.114 0.298 [2 per cell]
6 O 0.265 0.644 0.757 [2 per cell]
7 O 0.266 0.485 0.465 [2 per cell]
8 O 0.283 0.483 0.084 [2 per cell]